For Sc8C3NO3, a crystal structure in Alexandria, relaxed with GGA-PBE gives the calculated powder X-ray diffraction pattern in this record (Cu Kα (weighted mean of Kα1 and Kα2)).

Top 6 peaks for 2θ = 10–90°, in order of falling intensity:
| d [Å] | Rel. int. |
| --- | --- |
| 2.294 | 100 |
| 2.651 | 53 |
| 1.624 | 29 |
| 1.620 | 28 |
| 1.384 | 20 |
| 2.642 | 17 |

Cell lengths 6.480, 6.480, 6.480 Å; angles 60.17, 60.17, 60.17 degrees
Fractional coordinates of all 15 atoms:
Sc  0.247  0.247  0.247
Sc  0.250  0.744  0.744
Sc  0.256  0.256  0.750
Sc  0.256  0.750  0.256
Sc  0.744  0.250  0.744
Sc  0.744  0.744  0.250
Sc  0.750  0.256  0.256
Sc  0.753  0.753  0.753
C  0.000  0.000  0.500
C  0.000  0.500  0.000
C  0.500  0.000  0.000
N  0.500  0.500  0.500
O  0.000  0.500  0.500
O  0.500  0.000  0.500
O  0.500  0.500  0.000